Entry 1:
For Sm2HoSb3, the PBE geometry in OQMD gives the computed powder XRD pattern in this record (copper Kα).
Intensities are scaled so that the largest is 1000.

Largest 6 diffraction maxima, by angle, 2θ from 10° to 80°:
| 2θ (°) | I/Imax |
| --- | --- |
| 28.47 | 1000 |
| 40.70 | 762 |
| 50.42 | 272 |
| 58.92 | 127 |
| 66.71 | 348 |
| 74.07 | 256 |

Structure:
Lattice parameters (Å, degrees): 4.434 4.434 10.860 90.00 90.00 120.00
Atoms (fractional coordinates):
Sm 0.333 0.667 0.331
Sm 0.667 0.333 0.669
Ho 0.000 0.000 0.000
Sb 0.000 0.000 0.500
Sb 0.333 0.667 0.839
Sb 0.667 0.333 0.161

Entry 2:
For HoTlSbTe3, the PBE geometry in OQMD gives the computed powder XRD pattern in this record (copper Kα).
Intensities are scaled so that the largest is 1000.

Largest 6 diffraction maxima, by angle, 2θ from 10° to 80°:
| 2θ (°) | I/Imax |
| --- | --- |
| 27.35 | 1000 |
| 28.28 | 397 |
| 28.54 | 671 |
| 34.91 | 237 |
| 39.94 | 712 |
| 52.36 | 248 |

Structure:
Lattice parameters (Å, degrees): 8.005 8.005 12.512 90.00 90.00 149.48
Atoms (fractional coordinates):
Ho 0.000 0.000 0.000
Ho 0.000 0.000 0.500
Tl 0.291 0.709 0.750
Tl 0.709 0.291 0.250
Sb 0.384 0.616 0.250
Sb 0.616 0.384 0.750
Te 0.034 0.966 0.250
Te 0.359 0.641 0.010
Te 0.359 0.641 0.490
Te 0.641 0.359 0.510
Te 0.641 0.359 0.990
Te 0.966 0.034 0.750

Entry 3:
For HoTmZr2Sb2, the PBE geometry in OQMD gives the computed powder XRD pattern in this record (copper Kα).
Intensities are scaled so that the largest is 1000.

Largest 6 diffraction maxima, by angle, 2θ from 10° to 80°:
| 2θ (°) | I/Imax |
| --- | --- |
| 29.63 | 505 |
| 31.59 | 988 |
| 34.37 | 586 |
| 36.93 | 1000 |
| 42.39 | 739 |
| 54.47 | 558 |

Structure:
Lattice parameters (Å, degrees): 4.264 4.264 16.495 90.00 90.00 90.00
Atoms (fractional coordinates):
Ho 0.000 0.000 0.000
Ho 0.500 0.500 0.500
Tm 0.000 0.000 0.352
Tm 0.500 0.500 0.852
Zr 0.000 0.500 0.177
Zr 0.000 0.500 0.677
Zr 0.500 0.000 0.177
Zr 0.500 0.000 0.677
Sb 0.000 0.000 0.542
Sb 0.000 0.000 0.811
Sb 0.500 0.500 0.042
Sb 0.500 0.500 0.311

Entry 4:
For HoSe, the PBE geometry in OQMD gives the computed powder XRD pattern in this record (copper Kα).
Intensities are scaled so that the largest is 1000.

Largest 6 diffraction maxima, by angle, 2θ from 10° to 80°:
| 2θ (°) | I/Imax |
| --- | --- |
| 26.99 | 223 |
| 31.26 | 1000 |
| 44.74 | 371 |
| 44.86 | 369 |
| 55.69 | 194 |
| 74.01 | 167 |

Structure:
Lattice parameters (Å, degrees): 4.041 4.041 9.936 90.00 90.00 120.00
Atoms (fractional coordinates):
Ho 0.000 0.000 0.000
Ho 0.333 0.667 0.667
Ho 0.667 0.333 0.333
Se 0.000 0.000 0.500
Se 0.333 0.667 0.166
Se 0.667 0.333 0.834